# 1
Starting from a structure optimized by DFT (GGA-PBE), the X-ray diffraction stick pattern of MgBeHS was calculated for Cu Kα.

Largest 10 diffraction maxima, sorted by position, 2θ from 10° to 90°:
Position (°2θ)	I/Imax
16.67	13.8
30.28	100.0
31.70	19.9
31.90	46.0
33.71	44.3
41.04	17.0
41.40	29.8
50.12	19.6
52.78	40.1
63.79	12.1

Cell and atoms:
```
MgBeHS
1.0
3.0062 -1.7331 0.0000
3.0062 1.7331 0.0000
-1.9487 0.0000 5.3183
Mg Be H S
1 1 1 1
direct
0.0000 0.0000 0.0000
0.5387 0.5387 0.5983
0.6299 0.6299 0.8869
0.1656 0.1656 0.4751
```

# 2
Starting from a structure optimized by DFT (GGA-PBE), the X-ray diffraction stick pattern of Nd3Ho2Tl2 was calculated for Cu Kα.

Largest 10 diffraction maxima, sorted by position, 2θ from 10° to 90°:
Position (°2θ)	I/Imax
31.76	95.7
32.41	100.0
45.96	23.1
46.11	11.4
56.12	10.7
57.40	36.0
57.78	13.0
66.35	8.8
75.72	8.4
76.80	10.9

Cell and atoms:
```
Nd3Ho2Tl2
1.0
4.7790 -2.7652 0.0000
4.7790 2.7652 0.0000
-3.2066 0.0000 8.1360
Nd Ho Tl
3 2 2
direct
0.0000 0.0000 0.0000
0.1570 0.1570 0.4707
0.8430 0.8430 0.5293
0.4262 0.4262 0.2794
0.5738 0.5738 0.7206
0.2869 0.2869 0.8602
0.7131 0.7131 0.1398
```

# 3
Starting from a structure optimized by DFT (GGA-PBE), the X-ray diffraction stick pattern of NbReMo14 was calculated for Cu Kα.

Largest 10 diffraction maxima, sorted by position, 2θ from 10° to 90°:
Position (°2θ)	I/Imax
19.81	1.9
34.67	1.0
40.23	100.0
40.32	19.9
58.23	19.6
73.07	20.0
73.24	19.9
86.74	2.2
86.97	8.8
87.14	2.2

Cell and atoms:
```
NbReMo14
1.0
3.1676 -4.4742 0.0000
3.1676 4.4742 0.0000
0.0000 0.0000 8.9812
Nb Re Mo
1 1 14
direct
0.0000 0.0000 0.0000
0.5000 0.5000 0.0000
0.0000 0.0000 0.5000
0.0000 0.5000 0.0000
0.0000 0.5000 0.5000
0.2509 0.2509 0.2516
0.2509 0.2509 0.7484
0.2508 0.7492 0.2502
0.2508 0.7492 0.7498
0.5000 0.0000 0.0000
0.5000 0.0000 0.5000
0.5000 0.5000 0.5000
0.7492 0.2508 0.2502
0.7492 0.2508 0.7498
0.7491 0.7491 0.2516
0.7491 0.7491 0.7484
```

# 4
Starting from a structure optimized by DFT (GGA-PBE), the X-ray diffraction stick pattern of Nd5DySi4 was calculated for Cu Kα.

Largest 10 diffraction maxima, sorted by position, 2θ from 10° to 90°:
Position (°2θ)	I/Imax
24.51	100.0
25.64	44.6
34.42	35.0
35.46	32.8
35.57	64.6
35.96	62.4
44.27	21.1
50.25	23.9
62.14	12.4
63.98	17.3

Cell and atoms:
```
Nd5DySi4
1.0
7.8187 -2.5313 0.0000
7.8187 2.5313 0.0000
-0.1054 0.0000 6.9489
Nd Dy Si
5 1 4
direct
0.0000 0.0000 0.0000
0.3338 0.3338 0.4918
0.3361 0.3361 0.0018
0.6639 0.6639 0.9982
0.6662 0.6662 0.5082
0.0000 0.0000 0.5000
0.1750 0.1750 0.7495
0.4916 0.4916 0.7390
0.5084 0.5084 0.2610
0.8250 0.8250 0.2505
```

# 5
Starting from a structure optimized by DFT (GGA-PBE), the X-ray diffraction stick pattern of Ce4NdGa4 was calculated for Cu Kα.

Largest 10 diffraction maxima, sorted by position, 2θ from 10° to 90°:
Position (°2θ)	I/Imax
27.66	25.4
31.77	90.7
33.05	63.4
33.16	51.4
34.82	100.0
36.41	45.8
38.24	32.0
40.86	69.1
44.89	22.2
66.60	24.0

Cell and atoms:
```
Ce4NdGa4
1.0
8.5717 0.0000 0.0000
0.0000 8.5717 0.0000
0.0000 0.0000 5.9634
Ce Nd Ga
8 2 8
direct
0.0965 0.8156 0.1251
0.1844 0.5965 0.6251
0.3156 0.9035 0.6251
0.4035 0.6844 0.1251
0.5965 0.3156 0.8749
0.6844 0.0965 0.3749
0.8156 0.4035 0.3749
0.9035 0.1844 0.8749
0.2500 0.2500 0.7500
0.7500 0.7500 0.2500
0.0571 0.1425 0.3448
0.1425 0.4429 0.1552
0.3575 0.0571 0.1552
0.4429 0.3575 0.3448
0.5571 0.6425 0.6552
0.6425 0.9429 0.8448
0.8575 0.5571 0.8448
0.9429 0.8575 0.6552
```

# 6
Starting from a structure optimized by DFT (GGA-PBE), the X-ray diffraction stick pattern of SmCd4Hg4 was calculated for Cu Kα.

Largest 10 diffraction maxima, sorted by position, 2θ from 10° to 90°:
Position (°2θ)	I/Imax
28.59	2.7
33.85	100.0
38.20	35.9
41.38	14.5
55.13	12.2
57.58	21.6
66.28	27.9
70.66	11.8
71.21	11.4
81.75	3.9

Cell and atoms:
```
SmCd4Hg4
1.0
-4.9979 4.9979 2.1819
4.9979 -4.9979 2.1819
4.9979 4.9979 -2.1819
Sm Cd Hg
1 4 4
direct
0.0000 0.0000 0.0000
0.0000 0.3385 0.3385
0.0000 0.6615 0.6615
0.3385 0.0000 0.3385
0.6615 0.0000 0.6615
0.3299 0.3299 0.6597
0.3299 0.6701 0.0000
0.6701 0.3299 0.0000
0.6701 0.6701 0.3403
```

# 7
Starting from a structure optimized by DFT (GGA-PBE), the X-ray diffraction stick pattern of Li7Si3 was calculated for Cu Kα.

Largest 10 diffraction maxima, sorted by position, 2θ from 10° to 90°:
Position (°2θ)	I/Imax
14.77	17.5
24.02	100.0
25.53	39.7
41.30	65.3
42.51	57.7
47.00	19.3
48.34	12.1
51.76	11.5
60.77	18.8
76.14	18.5

Cell and atoms:
```
Li7Si3
1.0
7.5723 0.0000 0.0000
-3.7861 6.5578 0.0000
0.0000 0.0000 17.9893
Li Si
42 18
direct
0.0855 0.5306 0.2068
0.0855 0.5549 0.7932
0.0867 0.2220 0.1262
0.0867 0.8647 0.8738
0.1084 0.2225 0.9835
0.1083 0.5531 0.3496
0.1083 0.5551 0.6504
0.1084 0.8859 0.0165
0.1114 0.2227 0.8333
0.1114 0.8886 0.1667
0.1141 0.2225 0.6831
0.1141 0.5571 0.5000
0.1141 0.8916 0.3169
0.1353 0.2220 0.5405
0.1353 0.9133 0.4595
0.4429 0.5571 0.1667
0.4429 0.8859 0.8333
0.4451 0.5306 0.4598
0.4449 0.5531 0.3170
0.4449 0.8917 0.6830
0.4451 0.9145 0.5402
0.4463 0.2220 0.3648
0.4463 0.2243 0.6352
0.4469 0.5551 0.0163
0.4469 0.8917 0.9837
0.4669 0.2236 0.2116
0.4669 0.2433 0.7884
0.4694 0.5549 0.8735
0.4694 0.9145 0.1265
0.7567 0.2236 0.4551
0.7567 0.5331 0.5449
0.7757 0.2220 0.3019
0.7764 0.2433 0.8783
0.7764 0.5331 0.1217
0.7757 0.5537 0.6981
0.7773 0.8886 0.5000
0.7780 0.2243 0.0315
0.7780 0.5537 0.9685
0.7780 0.8647 0.7929
0.7775 0.8859 0.6502
0.7775 0.8916 0.3498
0.7780 0.9133 0.2071
0.1015 0.2224 0.3986
0.1015 0.8791 0.6014
0.1209 0.2224 0.2680
0.1209 0.8985 0.7320
0.1284 0.5598 0.9346
0.1284 0.5687 0.0654
0.4265 0.2090 0.9342
0.4265 0.2175 0.0658
0.4313 0.5598 0.7321
0.4313 0.8716 0.2679
0.4402 0.5687 0.6012
0.4402 0.8716 0.3988
0.7776 0.8791 0.0653
0.7776 0.8985 0.9347
0.7825 0.2090 0.7325
0.7825 0.5735 0.2675
0.7910 0.2175 0.6008
0.7910 0.5735 0.3992
```

# 8
Starting from a structure optimized by DFT (GGA-PBE), the X-ray diffraction stick pattern of Pr3Sn2Pd was calculated for Cu Kα.

Largest 10 diffraction maxima, sorted by position, 2θ from 10° to 90°:
Position (°2θ)	I/Imax
28.07	61.1
29.36	94.0
30.40	30.6
31.95	35.1
32.30	100.0
35.16	70.8
38.29	45.5
38.87	78.4
43.12	31.6
59.46	36.6

Cell and atoms:
```
Pr3Sn2Pd
1.0
12.6431 0.0000 0.0000
0.0000 4.6342 0.0000
0.0000 0.0000 12.0941
Pr Sn Pd
12 8 4
direct
0.0521 0.2500 0.1290
0.1236 0.7500 0.5563
0.2264 0.2500 0.8020
0.2736 0.7500 0.3020
0.3764 0.2500 0.0563
0.4479 0.7500 0.6290
0.5521 0.2500 0.3710
0.6236 0.7500 0.9437
0.7264 0.2500 0.6980
0.7736 0.7500 0.1980
0.8764 0.2500 0.4437
0.9479 0.7500 0.8710
0.0085 0.7500 0.3108
0.1888 0.7500 0.0026
0.3112 0.2500 0.5026
0.4915 0.2500 0.8108
0.5085 0.7500 0.1892
0.6888 0.7500 0.4974
0.8112 0.2500 0.9974
0.9915 0.2500 0.6892
0.1245 0.2500 0.3730
0.3755 0.7500 0.8730
0.6245 0.2500 0.1270
0.8755 0.7500 0.6270
```

# 9
Starting from a structure optimized by DFT (GGA-PBE), the X-ray diffraction stick pattern of AgS5Cl7 was calculated for Cu Kα.

Largest 10 diffraction maxima, sorted by position, 2θ from 10° to 90°:
Position (°2θ)	I/Imax
10.99	31.7
12.51	79.8
12.82	100.0
17.52	40.2
18.37	45.3
22.93	42.5
24.36	34.4
28.90	67.5
38.15	28.9
38.60	25.0

Cell and atoms:
```
AgS5Cl7
1.0
5.0664 -6.0354 0.0000
5.0664 6.0354 0.0000
-4.7323 0.0000 8.0491
Ag S Cl
1 5 7
direct
0.0000 0.0000 0.0000
0.2747 0.2747 0.1635
0.5950 0.9354 0.6143
0.6019 0.9765 0.8348
0.9354 0.5950 0.6143
0.9765 0.6019 0.8348
0.0695 0.0695 0.7958
0.2635 0.6494 0.9696
0.3206 0.8908 0.4583
0.3465 0.3465 0.4062
0.6494 0.2635 0.9696
0.8908 0.3206 0.4583
0.9223 0.9223 0.1952
```

# 10
Starting from a structure optimized by DFT (GGA-PBE), the X-ray diffraction stick pattern of Tl2HgPd8 was calculated for Cu Kα.

Largest 10 diffraction maxima, sorted by position, 2θ from 10° to 90°:
Position (°2θ)	I/Imax
24.47	10.5
24.78	10.6
38.62	100.0
44.43	17.0
45.12	31.8
65.18	21.1
65.71	10.1
77.91	12.8
78.89	23.8
82.80	10.7

Cell and atoms:
```
Tl2HgPd8
1.0
-2.0389 4.0218 6.0248
2.0389 -4.0218 6.0248
2.0389 4.0218 -6.0248
Tl Hg Pd
2 1 8
direct
0.1568 0.1568 0.0000
0.8432 0.8432 0.0000
0.5000 0.5000 0.0000
0.0827 0.3332 0.7494
0.2538 0.0000 0.2538
0.3305 0.8305 0.5000
0.4162 0.6668 0.7494
0.5838 0.3332 0.2506
0.6695 0.1695 0.5000
0.7462 0.0000 0.7462
0.9173 0.6668 0.2506
```

# 11
Starting from a structure optimized by DFT (GGA-PBE), the X-ray diffraction stick pattern of Tl4In3Hg16 was calculated for Cu Kα.

Largest 10 diffraction maxima, sorted by position, 2θ from 10° to 90°:
Position (°2θ)	I/Imax
28.18	22.4
28.92	12.7
33.10	83.9
33.42	100.0
35.47	13.7
42.84	11.5
47.51	28.2
59.32	31.4
59.91	16.4
79.12	9.9

Cell and atoms:
```
Tl4In3Hg16
1.0
7.6557 0.0000 0.0000
0.0000 7.6557 0.0000
0.0000 0.0000 11.2732
Tl In Hg
4 3 16
direct
0.0000 0.5000 0.1757
0.0000 0.5000 0.8243
0.5000 0.0000 0.1757
0.5000 0.0000 0.8243
0.0000 0.0000 0.0000
0.0000 0.5000 0.5000
0.5000 0.0000 0.5000
0.0000 0.0000 0.2688
0.0000 0.0000 0.7312
0.2692 0.2692 0.3590
0.2692 0.2692 0.6410
0.2692 0.7308 0.3590
0.2692 0.7308 0.6410
0.2793 0.2793 0.0000
0.2793 0.7207 0.0000
0.5000 0.5000 0.1902
0.5000 0.5000 0.8098
0.7207 0.2793 0.0000
0.7207 0.7207 0.0000
0.7308 0.2692 0.3590
0.7308 0.2692 0.6410
0.7308 0.7308 0.3590
0.7308 0.7308 0.6410
```